Starting from a GGA-PBE-relaxed structure, the X-ray powder pattern of RbTlCoCl6 was computed for Cu Kα (λ = 1.5418 Å).

Structural model:
Lattice parameters (Å, degrees): 6.6753 6.6753 7.3017 90.25 90.25 120.05
Positions (direct):
Rb1 0.0000 0.0000 0.0000
Tl1 0.6664 0.3336 0.5000
Co1 0.3314 0.6686 0.5000
Cl1 0.0230 0.3841 0.6960
Cl2 0.0254 0.6358 0.3017
Cl3 0.3642 0.9746 0.6983
Cl4 0.3725 0.3954 0.2978
Cl5 0.6046 0.6275 0.7022
Cl6 0.6159 0.9770 0.3040

Most intense lines, 2θ = 10–80°, low angle first:
2θ 12.12, rel. 70
2θ 15.33, rel. 31
2θ 19.55, rel. 100
2θ 19.67, rel. 50
2θ 26.72, rel. 33
2θ 29.48, rel. 26
2θ 33.30, rel. 22
2θ 36.36, rel. 40
2θ 36.57, rel. 53
2θ 47.18, rel. 29